Structure and computed X-ray powder pattern of Tm6InFe (DFT lattice parameters and positions (GGA-PBE); copper Kα).

Most intense lines, 15° ≤ 2θ ≤ 90°, sorted by position:
index, 2θ (°), I_rel
1 3 0, 29.73, 83
2 2 -1, 30.41, 87
1 1 -2, 30.89, 79
2 0 1, 31.22, 97
1 3 1, 34.92, 100
0 2 2, 35.57, 46
3 1 -1, 35.84, 72
2 0 -4, 61.19, 36

Atomic structure:
a b c (Å): 7.886 9.813 6.108
angles (deg): 90.00 105.43 90.00
Space group C2/m (No. 12)
Unique sites:
1 Tm 0.112 0.183 0.288 x8
2 Tm 0.219 0.500 0.118 x4
3 In 0.000 0.500 0.500 x2
4 Fe 0.000 0.000 0.000 x2

---

Structure and computed X-ray powder pattern of Ho5Ir4Rh (DFT lattice parameters and positions (GGA-PBE); copper Kα).

Most intense lines, 15° ≤ 2θ ≤ 90°, sorted by position:
index, 2θ (°), I_rel
1 0 5, 36.94, 100
1 1 0, 38.05, 46
0 0 10, 51.54, 10
2 0 0, 54.91, 16
1 1 10, 65.83, 19
2 1 5, 68.03, 34
2 0 10, 78.65, 11
1 0 15, 87.53, 9

Atomic structure:
a b c (Å): 3.344 3.344 17.732
angles (deg): 90.00 90.00 90.00
Space group P4/mmm (No. 123)
Unique sites:
1 Ho 0.000 0.000 0.000 x1
2 Ho 0.000 0.000 0.200 x2
3 Ho 0.000 0.000 0.400 x2
4 Ir 0.500 0.500 0.100 x2
5 Ir 0.500 0.500 0.301 x2
6 Rh 0.500 0.500 0.500 x1

---

Structure and computed X-ray powder pattern of LaBeP (DFT lattice parameters and positions (GGA-PBE); copper Kα).

Most intense lines, 15° ≤ 2θ ≤ 90°, sorted by position:
index, 2θ (°), I_rel
1 0 1, 22.73, 59
0 0 4, 26.77, 27
1 0 3, 29.69, 55
1 1 2, 33.77, 100
1 0 5, 40.40, 35
2 0 0, 44.27, 28
2 1 3, 54.21, 20
2 1 5, 61.47, 20

Atomic structure:
a b c (Å): 4.092 4.092 13.319
angles (deg): 90.00 90.00 90.00
Space group I4_1md (No. 109)
Unique sites:
1 La 0.000 0.000 0.000 x4
2 Be 0.000 0.000 0.583 x4
3 P 0.000 0.000 0.418 x4

---

Structure and computed X-ray powder pattern of CdAg4 (DFT lattice parameters and positions (GGA-PBE); copper Kα).

Most intense lines, 15° ≤ 2θ ≤ 90°, sorted by position:
index, 2θ (°), I_rel
1 1 1, 36.76, 100
4 0 -1, 37.68, 93
3 1 -2, 41.66, 70
2 0 2, 46.30, 25
1 1 -4, 63.96, 18
5 1 0, 64.08, 18
4 2 -1, 72.23, 25
5 1 -5, 73.93, 12

Atomic structure:
a b c (Å): 9.833 3.127 7.190
angles (deg): 90.00 123.44 90.00
Space group C2/m (No. 12)
Unique sites:
1 Cd 0.000 0.000 0.000 x2
2 Ag 0.101 0.500 0.404 x4
3 Ag 0.197 0.000 0.797 x4

---

Structure and computed X-ray powder pattern of Be6Re (DFT lattice parameters and positions (GGA-PBE); copper Kα).

Most intense lines, 15° ≤ 2θ ≤ 90°, sorted by position:
index, 2θ (°), I_rel
0 0 2, 21.13, 20
1 0 2, 24.91, 48
2 0 0, 26.27, 33
1 1 1, 26.90, 100
0 1 3, 38.44, 26
1 0 4, 45.15, 18
3 1 1, 46.75, 29
2 1 3, 47.16, 33

Atomic structure:
a b c (Å): 6.784 4.259 8.410
angles (deg): 90.00 90.00 90.00
Space group Pnma (No. 62)
Unique sites:
1 Be 0.056 0.250 0.091 x4
2 Be 0.061 0.509 0.311 x8
3 Be 0.100 0.750 0.522 x4
4 Be 0.145 0.250 0.856 x4
5 Be 0.198 0.750 0.752 x4
6 Re 0.250 0.250 0.572 x4

---

Structure and computed X-ray powder pattern of ThMgTlCd (DFT lattice parameters and positions (GGA-PBE); copper Kα).

Most intense lines, 15° ≤ 2θ ≤ 90°, sorted by position:
index, 2θ (°), I_rel
0 0 1, 18.20, 25
1 1 0, 27.03, 20
1 1 1, 32.78, 100
0 0 2, 36.88, 18
0 2 0, 37.69, 17
2 0 0, 39.49, 15
1 1 3, 63.86, 15
1 3 1, 64.95, 14

Atomic structure:
a b c (Å): 4.564 4.774 4.874
angles (deg): 90.00 90.00 90.00
Space group Pmmm (No. 47)
Unique sites:
1 Th 0.000 0.000 0.000 x1
2 Mg 0.000 0.500 0.500 x1
3 Tl 0.500 0.500 0.000 x1
4 Cd 0.500 0.000 0.500 x1

---

Structure and computed X-ray powder pattern of Nd5Sb2Pd (DFT lattice parameters and positions (GGA-PBE); copper Kα).

Most intense lines, 15° ≤ 2θ ≤ 90°, sorted by position:
index, 2θ (°), I_rel
0 2 3, 23.47, 46
2 0 0, 29.22, 83
1 3 3, 32.11, 100
0 4 3, 34.41, 46
0 0 6, 37.62, 31
2 4 3, 45.76, 41
2 0 6, 48.33, 30
1 7 0, 53.70, 43

Atomic structure:
a b c (Å): 6.112 12.433 14.347
angles (deg): 90.00 90.00 90.00
Space group Cmcm (No. 63)
Unique sites:
1 Nd 0.000 0.063 0.108 x8
2 Nd 0.000 0.349 0.750 x4
3 Nd 0.000 0.371 0.072 x8
4 Sb 0.000 0.191 0.587 x8
5 Pd 0.000 0.225 0.250 x4

---

Structure and computed X-ray powder pattern of DyY2Cu4 (DFT lattice parameters and positions (GGA-PBE); copper Kα).

Most intense lines, 15° ≤ 2θ ≤ 90°, sorted by position:
index, 2θ (°), I_rel
1 0 1, 19.00, 31
1 0 3, 29.11, 67
2 0 0, 35.12, 98
1 1 4, 40.07, 100
2 1 3, 46.24, 36
2 2 0, 50.52, 34
3 1 4, 66.35, 42
2 1 7, 70.58, 15

Atomic structure:
a b c (Å): 5.110 5.110 11.506
angles (deg): 90.00 90.00 90.00
Space group I4/mmm (No. 139)
Unique sites:
1 Dy 0.000 0.000 0.000 x2
2 Y 0.000 0.000 0.288 x4
3 Cu 0.000 0.500 0.116 x8

---

Structure and computed X-ray powder pattern of CsLiPm2Cl8 (DFT lattice parameters and positions (GGA-PBE); copper Kα).

Most intense lines, 15° ≤ 2θ ≤ 90°, sorted by position:
index, 2θ (°), I_rel
1 0 -1, 16.80, 100
1 0 1, 19.54, 55
0 2 1, 24.20, 26
1 2 0, 24.33, 43
1 2 -1, 26.61, 31
1 2 -2, 34.14, 33
2 2 -1, 34.42, 47
0 2 3, 44.34, 28

Atomic structure:
a b c (Å): 6.901 8.668 7.028
angles (deg): 90.00 98.55 90.00
Space group P2/m (No. 10)
Unique sites:
1 Cs 0.000 0.000 0.000 x1
2 Li 0.000 0.500 0.000 x1
3 Pm 0.500 0.262 0.500 x2
4 Cl 0.235 0.301 0.183 x4
5 Cl 0.302 0.500 0.649 x2
6 Cl 0.311 0.000 0.629 x2

---

Structure and computed X-ray powder pattern of Sr3Ca3Ru4O14 (DFT lattice parameters and positions (GGA-PBE); copper Kα).

Most intense lines, 15° ≤ 2θ ≤ 90°, sorted by position:
index, 2θ (°), I_rel
1 -1 2, 31.70, 63
0 2 0, 31.87, 100
2 0 -1, 32.12, 38
0 0 5, 45.21, 21
-2 2 1, 45.90, 40
2 0 -6, 56.58, 31
3 -1 1, 56.94, 17
3 1 -4, 57.06, 21

Atomic structure:
a b c (Å): 5.574 5.611 10.407
angles (deg): 90.36 105.52 90.03
Space group P1 (No. 1)
Unique sites:
1 Sr 0.000 0.000 0.000 x1
2 Sr 0.191 0.069 0.379 x1
3 Sr 0.517 0.503 0.003 x1
4 Ca 0.338 0.584 0.627 x1
5 Ca 0.712 0.586 0.378 x1
6 Ca 0.808 0.085 0.626 x1
7 Ru 0.110 0.539 0.201 x1
8 Ru 0.409 0.037 0.802 x1
9 Ru 0.607 0.040 0.201 x1
10 Ru 0.909 0.536 0.799 x1
11 O 0.069 0.541 0.999 x1
12 O 0.097 0.829 0.767 x1
13 O 0.146 0.540 0.400 x1
14 O 0.184 0.328 0.764 x1
15 O 0.337 0.821 0.222 x1
16 O 0.384 0.011 0.610 x1
17 O 0.419 0.332 0.234 x1
18 O 0.447 0.049 0.001 x1
19 O 0.629 0.743 0.830 x1
20 O 0.715 0.244 0.827 x1
21 O 0.743 0.515 0.602 x1
22 O 0.751 0.018 0.402 x1
23 O 0.810 0.752 0.176 x1
24 O 0.883 0.253 0.174 x1

---

Structure and computed X-ray powder pattern of Ho3Cu3Sn4 (DFT lattice parameters and positions (GGA-PBE); copper Kα).

Most intense lines, 15° ≤ 2θ ≤ 90°, sorted by position:
index, 2θ (°), I_rel
3 1 0, 29.44, 58
3 2 1, 35.00, 100
4 2 0, 42.13, 37
3 3 2, 44.29, 13
4 2 2, 46.37, 17
6 1 1, 59.39, 21
6 2 0, 61.10, 15
5 5 2, 72.39, 17

Atomic structure:
a b c (Å): 9.593 9.593 9.593
angles (deg): 90.00 90.00 90.00
Space group I-43d (No. 220)
Unique sites:
1 Ho 0.000 0.250 0.875 x12
2 Cu 0.000 0.250 0.375 x12
3 Sn 0.077 0.423 0.577 x16

---

Structure and computed X-ray powder pattern of AlPO4 (DFT lattice parameters and positions (GGA-PBE); copper Kα).

Most intense lines, 15° ≤ 2θ ≤ 90°, sorted by position:
index, 2θ (°), I_rel
1 0 0, 20.26, 20
0 1 2, 25.84, 100
1 1 0, 35.48, 6
1 0 4, 38.22, 6
1 1 4, 48.56, 14
1 2 2, 58.08, 9
1 2 4, 65.53, 6
2 0 6, 65.84, 8

Atomic structure:
a b c (Å): 5.0605 5.0605 11.1667
angles (deg): 90.00 90.00 120.00
Space group P3_221 (No. 154)
Unique sites:
1 Al 0.0000 0.5263 0.3333 x3
2 P 0.0000 0.5257 0.8333 x3
3 O 0.1389 0.4177 0.9311 x6
4 O 0.1725 0.4176 0.4442 x6